Theoretical powder diffractogram
Compound: Sm3VO6
Radiation: λ = 1.5418 Å (Cu Kα)
Structure: a structure optimized by DFT (GGA+U)
Kinematic intensities with the Lorentz-polarization factor, no thermal factor.

Most intense lines, 10° ≤ 2θ ≤ 90°, by angle:
d/Å, intensity
4.427, 20
3.019, 100
2.989, 39
2.819, 20
2.037, 25
2.009, 20
1.832, 19
1.584, 20

Cell and atoms:
```
20
Lattice="4.575 -5.730 0.000 4.575 5.730 0.000 0.000 0.000 5.638" Properties=species:S:1:pos:R:3 pbc="T T T"
Sm 4.575 4.553 2.819
Sm 2.800 1.214 2.563
Sm 2.800 -1.214 5.382
Sm 6.350 1.214 2.563
Sm 6.350 -1.214 5.382
Sm 4.575 -4.553 0.000
V 4.575 2.200 5.210
V 4.575 -2.200 2.391
O 3.140 3.013 4.189
O 1.463 0.171 4.094
O 1.463 -0.171 1.275
O 4.575 2.472 1.486
O 6.010 3.013 4.189
O 4.575 0.463 4.314
O 4.575 -0.463 1.495
O 3.140 -3.013 1.370
O 4.575 -2.472 4.305
O 7.687 0.171 4.094
O 7.687 -0.171 1.275
O 6.010 -3.013 1.370
```